Entry 1:
# Ce2DySi6
Theoretical X-ray diffraction stick pattern, Cu Kα. Input: a cell relaxed with GGA-PBE.

Peak list (8 most intense, 2θ = 5–70°, sorted by position)
2θ 21.84, I 12; 2θ 25.28, I 46; 2θ 33.64, I 100; 2θ 44.53, I 41; 2θ 50.13, I 9; 2θ 51.89, I 20; 2θ 56.95, I 22; 2θ 64.80, I 20

Atomic structure:
Unit cell a=7.047 b=7.047 c=4.070 alpha=90.00 beta=90.00 gamma=120.00
Atoms (fractional coordinates):
Ce 0.333 0.667 0.000
Ce 0.667 0.333 0.000
Dy 0.000 0.000 0.000
Si 0.000 0.333 0.500
Si 0.000 0.667 0.500
Si 0.333 0.000 0.500
Si 0.333 0.333 0.500
Si 0.667 0.000 0.500
Si 0.667 0.667 0.500

=====

Entry 2:
# Ce2Dy5Si4
Theoretical X-ray diffraction stick pattern, Cu Kα. Input: a cell relaxed with GGA-PBE.

Peak list (8 most intense, 2θ = 5–70°, sorted by position)
2θ 26.01, I 62; 2θ 26.64, I 67; 2θ 28.30, I 73; 2θ 30.64, I 77; 2θ 31.26, I 68; 2θ 33.88, I 74; 2θ 34.55, I 100; 2θ 37.40, I 83

Atomic structure:
Unit cell a=12.746 b=12.746 c=6.858 alpha=92.69 beta=92.69 gamma=15.46
Atoms (fractional coordinates):
Ce 0.096 0.096 0.205
Ce 0.904 0.904 0.795
Dy 0.129 0.129 0.702
Dy 0.238 0.238 0.255
Dy 0.500 0.500 0.500
Dy 0.762 0.762 0.745
Dy 0.871 0.871 0.298
Si 0.022 0.022 0.851
Si 0.326 0.326 0.999
Si 0.674 0.674 0.001
Si 0.978 0.978 0.149

=====

Entry 3:
# Ce2SmDy
Theoretical X-ray diffraction stick pattern, Cu Kα. Input: a cell relaxed with GGA-PBE.

Peak list (8 most intense, 2θ = 5–70°, sorted by position)
2θ 31.13, I 100; 2θ 35.28, I 18; 2θ 36.50, I 33; 2θ 51.67, I 24; 2θ 52.57, I 11; 2θ 60.75, I 15; 2θ 62.37, I 27; 2θ 64.91, I 12

Atomic structure:
Unit cell a=4.924 b=4.924 c=5.088 alpha=90.00 beta=90.00 gamma=90.00
Atoms (fractional coordinates):
Ce 0.000 0.500 0.000
Ce 0.500 0.000 0.000
Sm 0.000 0.000 0.500
Dy 0.500 0.500 0.500

=====

Entry 4:
# CeSm4Dy15
Theoretical X-ray diffraction stick pattern, Cu Kα. Input: a cell relaxed with GGA-PBE.

Peak list (8 most intense, 2θ = 5–70°, sorted by position)
2θ 30.77, I 100; 2θ 35.63, I 34; 2θ 35.77, I 17; 2θ 51.27, I 12; 2θ 51.38, I 24; 2θ 61.00, I 29; 2θ 61.18, I 14; 2θ 64.09, I 12

Atomic structure:
Unit cell a=5.040 b=5.040 c=25.103 alpha=90.00 beta=90.00 gamma=90.00
Atoms (fractional coordinates):
Ce 0.000 0.000 0.000
Sm 0.000 0.000 0.199
Sm 0.000 0.000 0.400
Sm 0.000 0.000 0.600
Sm 0.000 0.000 0.801
Dy 0.000 0.500 0.098
Dy 0.000 0.500 0.299
Dy 0.000 0.500 0.500
Dy 0.000 0.500 0.701
Dy 0.000 0.500 0.902
Dy 0.500 0.000 0.098
Dy 0.500 0.000 0.299
Dy 0.500 0.000 0.500
Dy 0.500 0.000 0.701
Dy 0.500 0.000 0.902
Dy 0.500 0.500 0.000
Dy 0.500 0.500 0.200
Dy 0.500 0.500 0.400
Dy 0.500 0.500 0.600
Dy 0.500 0.500 0.800

=====

Entry 5:
# CeSmDy
Theoretical X-ray diffraction stick pattern, Cu Kα. Input: a cell relaxed with GGA-PBE.

Peak list (8 most intense, 2θ = 5–70°, sorted by position)
2θ 30.58, I 53; 2θ 31.70, I 48; 2θ 31.90, I 40; 2θ 32.07, I 100; 2θ 33.22, I 31; 2θ 43.60, I 19; 2θ 56.71, I 15; 2θ 63.32, I 28

Atomic structure:
Unit cell a=12.991 b=3.454 c=9.739 alpha=90.00 beta=120.74 gamma=90.00
Atoms (fractional coordinates):
Ce 0.116 0.000 0.010
Ce 0.384 0.500 0.990
Ce 0.616 0.500 0.010
Ce 0.884 0.000 0.990
Sm 0.113 0.500 0.341
Sm 0.387 0.000 0.659
Sm 0.613 0.000 0.341
Sm 0.887 0.500 0.659
Dy 0.131 0.000 0.678
Dy 0.369 0.500 0.322
Dy 0.631 0.500 0.678
Dy 0.869 0.000 0.322

=====

Entry 6:
# CeSm2Dy3
Theoretical X-ray diffraction stick pattern, Cu Kα. Input: a cell relaxed with GGA-PBE.

Peak list (8 most intense, 2θ = 5–70°, sorted by position)
2θ 28.40, I 62; 2θ 31.11, I 94; 2θ 31.47, I 73; 2θ 32.65, I 69; 2θ 32.79, I 100; 2θ 34.04, I 98; 2θ 51.07, I 43; 2θ 61.09, I 29

Atomic structure:
Unit cell a=10.205 b=10.205 c=14.786 alpha=131.33 beta=131.33 gamma=19.96
Atoms (fractional coordinates):
Ce 0.021 0.021 0.144
Ce 0.979 0.979 0.856
Sm 0.191 0.191 0.137
Sm 0.271 0.271 0.622
Sm 0.729 0.729 0.378
Sm 0.809 0.809 0.863
Dy 0.106 0.106 0.645
Dy 0.351 0.351 0.110
Dy 0.435 0.435 0.603
Dy 0.565 0.565 0.397
Dy 0.649 0.649 0.890
Dy 0.894 0.894 0.355

=====

Entry 7:
# CeSmDy3
Theoretical X-ray diffraction stick pattern, Cu Kα. Input: a cell relaxed with GGA-PBE.

Peak list (8 most intense, 2θ = 5–70°, sorted by position)
2θ 26.38, I 23; 2θ 27.23, I 24; 2θ 31.34, I 31; 2θ 32.09, I 27; 2θ 32.45, I 20; 2θ 34.16, I 100; 2θ 49.11, I 14; 2θ 52.26, I 10

Atomic structure:
Unit cell a=7.002 b=11.028 c=8.747 alpha=90.00 beta=101.76 gamma=90.00
Atoms (fractional coordinates):
Ce 0.009 0.250 0.059
Ce 0.323 0.750 0.309
Ce 0.677 0.250 0.691
Ce 0.991 0.750 0.941
Sm 0.176 0.250 0.693
Sm 0.478 0.750 0.946
Sm 0.522 0.250 0.054
Sm 0.824 0.750 0.307
Dy 0.085 0.059 0.346
Dy 0.085 0.441 0.346
Dy 0.246 0.004 0.999
Dy 0.246 0.496 0.999
Dy 0.414 0.558 0.650
Dy 0.414 0.942 0.650
Dy 0.586 0.058 0.350
Dy 0.586 0.442 0.350
Dy 0.754 0.504 0.001
Dy 0.754 0.996 0.001
Dy 0.915 0.559 0.654
Dy 0.915 0.941 0.654

=====

Entry 8:
# CeSmDy14
Theoretical X-ray diffraction stick pattern, Cu Kα. Input: a cell relaxed with GGA-PBE.

Peak list (5 most intense, 2θ = 5–70°, sorted by position)
2θ 30.87, I 100; 2θ 35.79, I 51; 2θ 51.52, I 36; 2θ 61.28, I 43; 2θ 64.32, I 12

Atomic structure:
Unit cell a=7.096 b=7.096 c=10.033 alpha=90.00 beta=90.00 gamma=90.00
Atoms (fractional coordinates):
Ce 0.000 0.000 0.000
Sm 0.500 0.500 0.000
Dy 0.000 0.000 0.500
Dy 0.000 0.500 0.000
Dy 0.000 0.500 0.500
Dy 0.249 0.249 0.251
Dy 0.249 0.249 0.749
Dy 0.249 0.751 0.251
Dy 0.249 0.751 0.749
Dy 0.500 0.000 0.000
Dy 0.500 0.000 0.500
Dy 0.500 0.500 0.500
Dy 0.751 0.249 0.251
Dy 0.751 0.249 0.749
Dy 0.751 0.751 0.251
Dy 0.751 0.751 0.749

=====

Entry 9:
# CeSm5Dy6
Theoretical X-ray diffraction stick pattern, Cu Kα. Input: a cell relaxed with GGA-PBE.

Peak list (8 most intense, 2θ = 5–70°, sorted by position)
2θ 30.61, I 100; 2θ 35.41, I 34; 2θ 35.64, I 17; 2θ 50.95, I 12; 2θ 51.12, I 24; 2θ 60.62, I 29; 2θ 60.91, I 14; 2θ 63.72, I 12

Atomic structure:
Unit cell a=9.468 b=9.468 c=9.468 alpha=148.94 beta=115.69 gamma=73.13
Atoms (fractional coordinates):
Ce 0.000 0.000 0.000
Sm 0.166 0.666 0.500
Sm 0.333 0.333 0.000
Sm 0.500 0.000 0.500
Sm 0.667 0.667 0.000
Sm 0.834 0.334 0.500
Dy 0.083 0.835 0.249
Dy 0.247 0.500 0.747
Dy 0.414 0.165 0.249
Dy 0.586 0.835 0.751
Dy 0.753 0.500 0.253
Dy 0.917 0.165 0.751

=====

Entry 10:
# Tb2CeSmDy
Theoretical X-ray diffraction stick pattern, Cu Kα. Input: a cell relaxed with GGA-PBE.

Peak list (8 most intense, 2θ = 5–70°, sorted by position)
2θ 28.22, I 32; 2θ 29.83, I 100; 2θ 30.20, I 27; 2θ 32.09, I 47; 2θ 34.84, I 32; 2θ 47.64, I 26; 2θ 53.42, I 20; 2θ 55.64, I 34

Atomic structure:
Unit cell a=5.918 b=8.045 c=6.878 alpha=90.00 beta=90.00 gamma=90.00
Atoms (fractional coordinates):
Tb 0.250 0.202 0.189
Tb 0.250 0.798 0.189
Tb 0.750 0.202 0.811
Tb 0.750 0.798 0.811
Ce 0.000 0.500 0.500
Ce 0.500 0.500 0.500
Sm 0.250 0.000 0.664
Sm 0.750 0.000 0.336
Dy 0.250 0.500 0.908
Dy 0.750 0.500 0.092

=====

Entry 11:
# CeSm6Dy2Tm
Theoretical X-ray diffraction stick pattern, Cu Kα. Input: a cell relaxed with GGA-PBE.

Peak list (8 most intense, 2θ = 5–70°, sorted by position)
2θ 30.47, I 63; 2θ 30.62, I 43; 2θ 30.84, I 100; 2θ 31.51, I 86; 2θ 31.69, I 45; 2θ 33.11, I 51; 2θ 33.31, I 49; 2θ 56.80, I 44

Atomic structure:
Unit cell a=6.665 b=6.665 c=8.815 alpha=102.71 beta=102.71 gamma=62.72
Atoms (fractional coordinates):
Ce 0.000 0.000 0.000
Sm 0.091 0.563 0.202
Sm 0.124 0.124 0.417
Sm 0.437 0.909 0.798
Sm 0.563 0.091 0.202
Sm 0.876 0.876 0.583
Sm 0.909 0.437 0.798
Dy 0.410 0.410 0.831
Dy 0.590 0.590 0.169
Tm 0.500 0.500 0.500

=====

Entry 12:
# Ce2Sm6DyTm3
Theoretical X-ray diffraction stick pattern, Cu Kα. Input: a cell relaxed with GGA-PBE.

Peak list (8 most intense, 2θ = 5–70°, sorted by position)
2θ 30.69, I 100; 2θ 30.79, I 33; 2θ 35.61, I 67; 2θ 51.18, I 24; 2θ 51.31, I 24; 2θ 60.90, I 43; 2θ 61.04, I 14; 2θ 63.90, I 12

Atomic structure:
Unit cell a=6.184 b=6.184 c=11.799 alpha=95.02 beta=95.02 gamma=120.02
Atoms (fractional coordinates):
Ce 0.167 0.833 0.000
Ce 0.833 0.167 0.000
Sm 0.081 0.416 0.749
Sm 0.249 0.249 0.251
Sm 0.416 0.081 0.749
Sm 0.584 0.919 0.251
Sm 0.751 0.751 0.749
Sm 0.919 0.584 0.251
Dy 0.500 0.500 0.000
Tm 0.000 0.000 0.500
Tm 0.334 0.666 0.500
Tm 0.666 0.334 0.500

=====

Entry 13:
# CeSm2DyY
Theoretical X-ray diffraction stick pattern, Cu Kα. Input: a cell relaxed with GGA-PBE.

Peak list (8 most intense, 2θ = 5–70°, sorted by position)
2θ 28.00, I 31; 2θ 29.70, I 46; 2θ 29.89, I 100; 2θ 31.81, I 64; 2θ 34.42, I 29; 2θ 39.42, I 25; 2θ 47.64, I 25; 2θ 55.12, I 26

Atomic structure:
Unit cell a=7.933 b=6.960 c=6.009 alpha=90.00 beta=90.06 gamma=90.00
Atoms (fractional coordinates):
Ce 0.000 0.000 0.000
Ce 0.000 0.000 0.500
Sm 0.298 0.310 0.249
Sm 0.298 0.690 0.749
Sm 0.702 0.310 0.251
Sm 0.702 0.690 0.751
Dy 0.500 0.158 0.750
Dy 0.500 0.842 0.250
Y 0.000 0.403 0.750
Y 0.000 0.597 0.250